For CaTb5Ru4, a structure optimized by DFT (PBE) gives the simulated powder XRD pattern in this record (Cu Ka).
Neutral-atom scattering factors, no anomalous dispersion.

Peak list (12 most intense, 10° ≤ 2θ ≤ 90°, by intensity)
- 38.03 deg, rel. 100
- 36.96 deg, rel. 69
- 34.73 deg, rel. 44
- 67.30 deg, rel. 36
- 53.26 deg, rel. 24
- 65.16 deg, rel. 14
- 69.42 deg, rel. 13
- 25.90 deg, rel. 12
- 31.81 deg, rel. 12
- 64.97 deg, rel. 12
- 89.92 deg, rel. 9
- 27.36 deg, rel. 9

Cell and atoms:
a = 3.440 Å, b = 3.440 Å, c = 19.557 Å
α = 90.00°, β = 90.00°, γ = 90.00°
Space group P4/mmm (No. 123)
One atom of each set of equivalent atoms:
1 Ca 0.000 0.000 0.000 x1
2 Tb 0.500 0.500 0.155 x2
3 Tb 0.500 0.500 0.327 x2
4 Tb 0.500 0.500 0.500 x1
5 Ru 0.000 0.000 0.234 x2
6 Ru 0.000 0.000 0.413 x2

---

For Ca2TeRu, a structure optimized by DFT (PBE) gives the simulated powder XRD pattern in this record (Cu Ka).
Neutral-atom scattering factors, no anomalous dispersion.

Peak list (12 most intense, 10° ≤ 2θ ≤ 90°, by intensity)
- 38.19 deg, rel. 100
- 20.42 deg, rel. 89
- 31.25 deg, rel. 81
- 38.76 deg, rel. 48
- 15.10 deg, rel. 46
- 38.45 deg, rel. 37
- 55.74 deg, rel. 32
- 27.96 deg, rel. 23
- 29.76 deg, rel. 21
- 47.85 deg, rel. 19
- 52.55 deg, rel. 18
- 58.46 deg, rel. 17

Cell and atoms:
a = 4.683 Å, b = 3.802 Å, c = 6.316 Å
α = 90.00°, β = 111.69°, γ = 90.00°
Space group Pm (No. 6)
One atom of each set of equivalent atoms:
1 Ca 0.000 0.000 0.000 x1
2 Ca 0.295 0.500 0.589 x1
3 Te 0.592 0.500 0.184 x1
4 Ru 0.746 0.000 0.490 x1

---

For CaTe2Ru, a structure optimized by DFT (PBE) gives the simulated powder XRD pattern in this record (Cu Ka).
Neutral-atom scattering factors, no anomalous dispersion.

Peak list (12 most intense, 10° ≤ 2θ ≤ 90°, by intensity)
- 27.90 deg, rel. 100
- 37.10 deg, rel. 90
- 42.49 deg, rel. 61
- 13.76 deg, rel. 51
- 57.66 deg, rel. 24
- 74.20 deg, rel. 23
- 49.15 deg, rel. 20
- 51.60 deg, rel. 18
- 44.88 deg, rel. 16
- 63.06 deg, rel. 16
- 69.00 deg, rel. 15
- 77.76 deg, rel. 10

Cell and atoms:
a = 4.2547 Å, b = 4.2547 Å, c = 6.4344 Å
α = 90.00°, β = 90.00°, γ = 120.00°
Space group P-3m1 (No. 164)
One atom of each set of equivalent atoms:
1 Ca 0.0000 0.0000 0.0000 x1
2 Te 0.3333 0.6667 0.6892 x2
3 Ru 0.0000 0.0000 0.5000 x1

---

For CaTm3Ru2, a structure optimized by DFT (PBE) gives the simulated powder XRD pattern in this record (Cu Ka).
Neutral-atom scattering factors, no anomalous dispersion.

Peak list (12 most intense, 10° ≤ 2θ ≤ 90°, by intensity)
- 38.35 deg, rel. 100
- 14.99 deg, rel. 82
- 35.09 deg, rel. 69
- 30.24 deg, rel. 58
- 53.72 deg, rel. 33
- 74.16 deg, rel. 26
- 52.11 deg, rel. 22
- 47.05 deg, rel. 20
- 56.97 deg, rel. 20
- 67.92 deg, rel. 19
- 40.37 deg, rel. 14
- 78.12 deg, rel. 13

Cell and atoms:
a = 6.8255 Å, b = 6.8255 Å, c = 3.8614 Å
α = 90.00°, β = 90.00°, γ = 120.00°
Space group P6/mmm (No. 191)
One atom of each set of equivalent atoms:
1 Ca 0.0000 0.0000 0.0000 x1
2 Tm 0.0000 0.5000 0.5000 x3
3 Ru 0.3333 0.6667 0.0000 x2

---

For CaZnRu2, a structure optimized by DFT (PBE) gives the simulated powder XRD pattern in this record (Cu Ka).
Neutral-atom scattering factors, no anomalous dispersion.

Peak list (12 most intense, 10° ≤ 2θ ≤ 90°, by intensity)
- 14.66 deg, rel. 100
- 36.05 deg, rel. 93
- 46.00 deg, rel. 50
- 34.31 deg, rel. 41
- 43.95 deg, rel. 30
- 45.23 deg, rel. 23
- 39.33 deg, rel. 22
- 62.57 deg, rel. 14
- 51.92 deg, rel. 12
- 68.76 deg, rel. 12
- 47.44 deg, rel. 11
- 79.60 deg, rel. 11

Cell and atoms:
a = 8.320 Å, b = 2.968 Å, c = 6.100 Å
α = 90.00°, β = 97.90°, γ = 90.00°
Space group Cm (No. 8)
One atom of each set of equivalent atoms:
1 Ca 0.000 0.000 0.000 x2
2 Zn 0.264 0.500 0.314 x2
3 Ru 0.002 0.500 0.525 x2
4 Ru 0.246 0.000 0.670 x2

---

For Ca2SbS4, a structure optimized by DFT (PBE) gives the simulated powder XRD pattern in this record (Cu Ka).
Neutral-atom scattering factors, no anomalous dispersion.

Peak list (12 most intense, 10° ≤ 2θ ≤ 90°, by intensity)
- 14.79 deg, rel. 100
- 32.16 deg, rel. 98
- 39.12 deg, rel. 93
- 41.05 deg, rel. 76
- 13.50 deg, rel. 76
- 25.67 deg, rel. 76
- 43.41 deg, rel. 72
- 30.48 deg, rel. 64
- 26.71 deg, rel. 57
- 23.84 deg, rel. 48
- 46.14 deg, rel. 47
- 41.28 deg, rel. 46

Cell and atoms:
a = 13.350 Å, b = 3.934 Å, c = 7.412 Å
α = 90.00°, β = 117.74°, γ = 90.00°
Space group C2/m (No. 12)
One atom of each set of equivalent atoms:
1 Ca 0.200 0.000 0.178 x4
2 Sb 0.000 0.500 0.500 x2
3 S 0.107 0.500 0.893 x4
4 S 0.145 0.000 0.509 x4

---

> What is the formula in the sixth record?

Ca2SbS4